La2PrDy5: computed powder diffraction line list (Cu Kα X-rays), based on a cell relaxed with PBE.
Neutral-atom scattering factors, no anomalous dispersion.

Atomic structure:
```
data_La2PrDy5
_chemical_formula_sum 'La8 Pr4 Dy20'
_space_group_name_H-M_alt 'P -1'
_space_group_IT_number 2
_cell_length_a 8.5481
_cell_length_b 11.2948
_cell_length_c 11.6521
_cell_angle_alpha 86.93
_cell_angle_beta 79.77
_cell_angle_gamma 77.86
loop_
_space_group_symop_operation_xyz
'x,y,z'
'-x,-y,-z'
loop_
_atom_site_label
_atom_site_type_symbol
_atom_site_fract_x
_atom_site_fract_y
_atom_site_fract_z
La1 La 0.0830 0.4543 0.2649
La2 La 0.0958 0.8153 0.1743
La3 La 0.1568 0.5866 0.9574
La4 La 0.1586 0.1551 0.0870
Pr1 Pr 0.3994 0.2073 0.3253
Pr2 Pr 0.4002 0.7669 0.4046
Dy1 Dy 0.0138 0.2831 0.5373
Dy2 Dy 0.1101 0.0187 0.3738
Dy3 Dy 0.2021 0.7414 0.6817
Dy4 Dy 0.2383 0.3125 0.7946
Dy5 Dy 0.2382 0.9067 0.8966
Dy6 Dy 0.2956 0.4747 0.5272
Dy7 Dy 0.3000 0.0420 0.6159
Dy8 Dy 0.4661 0.3333 0.0161
Dy9 Dy 0.4717 0.9314 0.1423
Dy10 Dy 0.4790 0.5073 0.2438
```

Peak list (10 most intense, 15 to 90 degrees two-theta, sorted by position)
| d [Å] | I/Imax | (hkl) |
| --- | --- | --- |
| 2.982 | 42 | -1 3 1 |
| 2.939 | 42 | 1 -2 3 |
| 2.890 | 69 | 2 2 -2 |
| 2.884 | 67 | 2 3 2 |
| 2.841 | 31 | -2 2 1 |
| 2.783 | 100 | 0 1 4 |
| 2.673 | 17 | 0 4 -1 |
| 2.183 | 15 | 1 5 -1 |
| 1.953 | 14 | 3 1 5 |
| 1.629 | 17 | 2 1 -6 |